No. 1
Calculated powder XRD pattern of Pm6Ga5Hg for Cu Kα (weighted mean of Kα1 and Kα2), from a PBE-relaxed structure.
Neutral-atom scattering factors, no anomalous dispersion.

Atomic structure:
```
Pm6Ga5Hg
1.0
2.6216 -7.8551 0.0000
2.6216 7.8551 0.0000
0.0000 0.0000 7.3778
Pm Ga Hg
6 5 1
direct
0.0000 0.0000 0.2451
0.0000 0.0000 0.7549
0.3307 0.6693 0.2480
0.3307 0.6693 0.7520
0.6693 0.3307 0.2480
0.6693 0.3307 0.7520
0.1630 0.8370 0.5000
0.1655 0.8345 0.0000
0.5000 0.5000 0.0000
0.8345 0.1655 0.0000
0.8370 0.1630 0.5000
0.5000 0.5000 0.5000
```

Most intense lines, 15° ≤ 2θ ≤ 90°, by intensity:
| 2theta | Rel. int. |
| --- | --- |
| 34.28 | 100 |
| 61.33 | 24 |
| 61.48 | 12 |
| 49.18 | 12 |
| 82.31 | 11 |
| 72.28 | 7 |

No. 2
Calculated powder XRD pattern of PmZrGaHg for Cu Kα (weighted mean of Kα1 and Kα2), from a PBE-relaxed structure.
Neutral-atom scattering factors, no anomalous dispersion.

Atomic structure:
```
PmZrGaHg
1.0
0.0000 3.6007 3.6007
3.6007 0.0000 3.6007
3.6007 3.6007 0.0000
Pm Zr Ga Hg
1 1 1 1
direct
0.0000 0.0000 0.0000
0.5000 0.5000 0.5000
0.7500 0.7500 0.7500
0.2500 0.2500 0.2500
```

Most intense lines, 15° ≤ 2θ ≤ 90°, by intensity:
| 2theta | Rel. int. |
| --- | --- |
| 35.25 | 100 |
| 63.26 | 36 |
| 50.71 | 18 |
| 85.23 | 16 |
| 21.37 | 16 |
| 74.54 | 11 |

No. 3
Calculated powder XRD pattern of Pr2Ga2Hg3 for Cu Kα (weighted mean of Kα1 and Kα2), from a PBE-relaxed structure.
Neutral-atom scattering factors, no anomalous dispersion.

Atomic structure:
```
Pr2Ga2Hg3
1.0
2.1477 -11.0460 0.0000
2.1477 11.0460 0.0000
0.0000 0.0000 3.7213
Pr Ga Hg
2 2 3
direct
0.1585 0.8415 0.0000
0.8415 0.1585 0.0000
0.2813 0.7187 0.5000
0.7187 0.2813 0.5000
0.0000 0.0000 0.0000
0.4282 0.5718 0.5000
0.5718 0.4282 0.5000
```

Most intense lines, 15° ≤ 2θ ≤ 90°, by intensity:
| 2theta | Rel. int. |
| --- | --- |
| 32.08 | 100 |
| 35.29 | 65 |
| 34.26 | 60 |
| 55.33 | 31 |
| 61.78 | 26 |
| 42.07 | 23 |

No. 4
Calculated powder XRD pattern of Pr4Ga3Hg for Cu Kα (weighted mean of Kα1 and Kα2), from a PBE-relaxed structure.
Neutral-atom scattering factors, no anomalous dispersion.

Atomic structure:
```
Pr4Ga3Hg
1.0
5.3206 0.0000 0.0000
0.0000 5.3206 0.0000
0.0000 0.0000 7.5729
Pr Ga Hg
4 3 1
direct
0.0000 0.5000 0.2441
0.0000 0.5000 0.7559
0.5000 0.0000 0.2441
0.5000 0.0000 0.7559
0.0000 0.0000 0.0000
0.0000 0.0000 0.5000
0.5000 0.5000 0.0000
0.5000 0.5000 0.5000
```

Most intense lines, 15° ≤ 2θ ≤ 90°, by intensity:
| 2theta | Rel. int. |
| --- | --- |
| 33.58 | 100 |
| 33.69 | 50 |
| 60.18 | 37 |
| 59.97 | 19 |
| 48.39 | 18 |
| 80.75 | 16 |

No. 5
Calculated powder XRD pattern of PrSm2Ga2Hg2 for Cu Kα (weighted mean of Kα1 and Kα2), from a PBE-relaxed structure.
Neutral-atom scattering factors, no anomalous dispersion.

Atomic structure:
```
PrSm2Ga2Hg2
1.0
2.3439 1.3533 9.6332
-2.3439 1.3533 9.6332
0.0000 -2.7065 9.6332
Pr Sm Ga Hg
1 2 2 2
direct
0.0000 0.0000 0.0000
0.1293 0.1293 0.1293
0.8707 0.8707 0.8707
0.2515 0.2515 0.2515
0.7485 0.7485 0.7485
0.3981 0.3981 0.3981
0.6019 0.6019 0.6019
```

Most intense lines, 15° ≤ 2θ ≤ 90°, by intensity:
| 2theta | Rel. int. |
| --- | --- |
| 38.40 | 100 |
| 33.20 | 83 |
| 30.89 | 44 |
| 25.16 | 36 |
| 62.39 | 35 |
| 26.84 | 32 |

No. 6
Calculated powder XRD pattern of PrGaSnHg for Cu Kα (weighted mean of Kα1 and Kα2), from a PBE-relaxed structure.
Neutral-atom scattering factors, no anomalous dispersion.

Atomic structure:
```
PrGaSnHg
1.0
4.5378 0.0000 0.0000
0.0000 4.6503 0.0000
0.0000 0.0000 4.7177
Pr Ga Sn Hg
1 1 1 1
direct
0.0000 0.0000 0.0000
0.5000 0.5000 0.0000
0.5000 0.0000 0.5000
0.0000 0.5000 0.5000
```

Most intense lines, 15° ≤ 2θ ≤ 90°, by intensity:
| 2theta | Rel. int. |
| --- | --- |
| 33.50 | 100 |
| 38.15 | 18 |
| 38.73 | 17 |
| 39.73 | 16 |
| 66.00 | 14 |
| 66.78 | 14 |

No. 7
Calculated powder XRD pattern of Pu2Zn4Ga3Hg for Cu Kα (weighted mean of Kα1 and Kα2), from a PBE-relaxed structure.
Neutral-atom scattering factors, no anomalous dispersion.

Atomic structure:
```
Pu2Zn4Ga3Hg
1.0
4.2656 0.0000 0.0000
0.0000 4.2656 0.0000
0.0000 0.0000 10.8227
Pu Zn Ga Hg
2 4 3 1
direct
0.0000 0.5000 0.2377
0.5000 0.0000 0.7623
0.0000 0.0000 0.0000
0.0000 0.5000 0.6457
0.5000 0.0000 0.3543
0.5000 0.5000 0.0000
0.0000 0.5000 0.8687
0.5000 0.0000 0.1313
0.5000 0.5000 0.5000
0.0000 0.0000 0.5000
```

Most intense lines, 15° ≤ 2θ ≤ 90°, by intensity:
| 2theta | Rel. int. |
| --- | --- |
| 34.03 | 100 |
| 32.51 | 49 |
| 42.38 | 44 |
| 22.40 | 24 |
| 47.08 | 24 |
| 54.41 | 23 |

No. 8
Calculated powder XRD pattern of RbGaHg4 for Cu Kα (weighted mean of Kα1 and Kα2), from a PBE-relaxed structure.
Neutral-atom scattering factors, no anomalous dispersion.

Atomic structure:
```
RbGaHg4
1.0
0.0000 4.4764 4.4764
4.4764 0.0000 4.4764
4.4764 4.4764 0.0000
Rb Ga Hg
1 1 4
direct
0.0000 0.0000 0.0000
0.7500 0.7500 0.7500
0.3755 0.3755 0.3755
0.3755 0.3755 0.8734
0.3755 0.8734 0.3755
0.8734 0.3755 0.3755
```

Most intense lines, 15° ≤ 2θ ≤ 90°, by intensity:
| 2theta | Rel. int. |
| --- | --- |
| 33.19 | 100 |
| 34.71 | 72 |
| 17.15 | 49 |
| 53.16 | 35 |
| 58.30 | 35 |
| 69.67 | 30 |

No. 9
Calculated powder XRD pattern of Rb2GaHg7 for Cu Kα (weighted mean of Kα1 and Kα2), from a PBE-relaxed structure.
Neutral-atom scattering factors, no anomalous dispersion.

Atomic structure:
```
Rb2GaHg7
1.0
5.3087 0.0000 0.0000
0.0000 5.3087 0.0000
0.0000 0.0000 11.6431
Rb Ga Hg
2 1 7
direct
0.0000 0.5000 0.2457
0.5000 0.0000 0.7543
0.5000 0.5000 0.0000
0.0000 0.0000 0.0000
0.0000 0.0000 0.5000
0.0000 0.5000 0.6388
0.0000 0.5000 0.8952
0.5000 0.0000 0.1048
0.5000 0.0000 0.3612
0.5000 0.5000 0.5000
```

Most intense lines, 15° ≤ 2θ ≤ 90°, by intensity:
| 2theta | Rel. int. |
| --- | --- |
| 33.77 | 100 |
| 28.29 | 77 |
| 39.16 | 75 |
| 28.49 | 64 |
| 18.37 | 50 |
| 64.02 | 42 |

No. 10
Calculated powder XRD pattern of RbGa3Hg10 for Cu Kα (weighted mean of Kα1 and Kα2), from a PBE-relaxed structure.
Neutral-atom scattering factors, no anomalous dispersion.

Atomic structure:
```
RbGa3Hg10
1.0
5.2430 3.0270 8.5419
-5.2430 3.0270 8.5419
0.0000 -6.0541 8.5419
Rb Ga Hg
2 6 20
direct
0.2500 0.2500 0.2500
0.7500 0.7500 0.7500
0.2644 0.7354 0.7354
0.2646 0.2646 0.7356
0.2646 0.7356 0.2646
0.7354 0.2644 0.7354
0.7354 0.7354 0.2644
0.7356 0.2646 0.2646
0.9998 0.9998 0.3399
0.0002 0.0002 0.6601
0.9998 0.3399 0.9998
0.0000 0.3405 0.6595
0.0002 0.6601 0.0002
0.0000 0.6595 0.3405
0.1655 0.6113 0.6113
0.3399 0.9998 0.9998
0.3405 0.0000 0.6595
0.3405 0.6595 0.0000
0.3888 0.3888 0.3888
0.3887 0.3887 0.8345
0.3887 0.8345 0.3887
0.6113 0.1655 0.6113
0.6113 0.6113 0.1655
0.6112 0.6112 0.6112
0.6601 0.0002 0.0002
0.6595 0.0000 0.3405
0.6595 0.3405 0.0000
0.8345 0.3887 0.3887
```

Most intense lines, 15° ≤ 2θ ≤ 90°, by intensity:
| 2theta | Rel. int. |
| --- | --- |
| 31.37 | 100 |
| 35.85 | 49 |
| 26.91 | 25 |
| 52.39 | 25 |
| 34.23 | 19 |
| 36.38 | 17 |

No. 11
Calculated powder XRD pattern of RbGaHg for Cu Kα (weighted mean of Kα1 and Kα2), from a PBE-relaxed structure.
Neutral-atom scattering factors, no anomalous dispersion.

Atomic structure:
```
RbGaHg
1.0
5.7312 0.0000 0.0000
0.0000 5.1415 0.0000
-2.7422 0.0000 6.5682
Rb Ga Hg
2 2 2
direct
0.2346 0.0000 0.0169
0.7654 0.5000 0.9831
0.1285 0.4990 0.5514
0.8715 0.9990 0.4486
0.4629 0.9998 0.6168
0.5371 0.4998 0.3832
```

Most intense lines, 15° ≤ 2θ ≤ 90°, by intensity:
| 2theta | Rel. int. |
| --- | --- |
| 31.23 | 100 |
| 30.84 | 73 |
| 35.88 | 63 |
| 34.90 | 55 |
| 16.76 | 44 |
| 41.44 | 34 |

No. 12
Calculated powder XRD pattern of RbGaHg3 for Cu Kα (weighted mean of Kα1 and Kα2), from a PBE-relaxed structure.
Neutral-atom scattering factors, no anomalous dispersion.

Atomic structure:
```
RbGaHg3
1.0
7.1804 -5.7503 0.0000
7.1804 5.7503 0.0000
-2.2822 0.0000 7.3412
Rb Ga Hg
4 4 12
direct
0.0226 0.9774 0.7500
0.3394 0.6606 0.2500
0.6606 0.3394 0.7500
0.9774 0.0226 0.2500
0.2360 0.5663 0.6858
0.4337 0.7640 0.8142
0.5663 0.2360 0.1858
0.7640 0.4337 0.3142
0.0128 0.3425 0.6017
0.0300 0.3484 0.0917
0.3226 0.3266 0.9036
0.3266 0.3226 0.4036
0.3425 0.0128 0.1017
0.3484 0.0300 0.5917
0.6516 0.9700 0.4083
0.6575 0.9872 0.8983
0.6734 0.6774 0.5964
0.6774 0.6734 0.0964
0.9700 0.6516 0.9083
0.9872 0.6575 0.3983
```

Most intense lines, 15° ≤ 2θ ≤ 90°, by intensity:
| 2theta | Rel. int. |
| --- | --- |
| 33.01 | 100 |
| 30.43 | 89 |
| 29.92 | 50 |
| 30.86 | 40 |
| 40.44 | 24 |
| 47.44 | 19 |

No. 13
Calculated powder XRD pattern of RbGaHg5 for Cu Kα (weighted mean of Kα1 and Kα2), from a PBE-relaxed structure.
Neutral-atom scattering factors, no anomalous dispersion.

Atomic structure:
```
RbGaHg5
1.0
-2.8287 3.6956 5.0329
2.8287 -3.6956 5.0329
2.8287 3.6956 -5.0329
Rb Ga Hg
1 1 5
direct
0.0000 0.0000 0.0000
0.5000 0.5000 0.0000
0.0148 0.3050 0.7098
0.4048 0.6950 0.7098
0.5000 0.0000 0.5000
0.5952 0.3050 0.2902
0.9852 0.6950 0.2902
```

Most intense lines, 15° ≤ 2θ ≤ 90°, by intensity:
| 2theta | Rel. int. |
| --- | --- |
| 30.00 | 100 |
| 30.99 | 92 |
| 31.63 | 73 |
| 44.15 | 71 |
| 30.22 | 49 |
| 54.37 | 39 |

No. 14
Calculated powder XRD pattern of GaHgRuS for Cu Kα (weighted mean of Kα1 and Kα2), from a PBE-relaxed structure.
Neutral-atom scattering factors, no anomalous dispersion.

Atomic structure:
```
GaHgRuS
1.0
2.9532 0.0000 0.0000
0.0000 2.1091 6.1232
0.0000 -2.1091 6.1232
Ga Hg Ru S
1 1 1 1
direct
0.0000 0.0000 0.0000
0.0000 0.3188 0.3188
0.5000 0.5261 0.5261
0.0000 0.6715 0.6715
```

Most intense lines, 15° ≤ 2θ ≤ 90°, by intensity:
| 2theta | Rel. int. |
| --- | --- |
| 43.48 | 100 |
| 22.29 | 64 |
| 30.47 | 47 |
| 33.69 | 37 |
| 37.91 | 34 |
| 29.17 | 32 |